(1)
Calculated PXRD pattern
Compound: Cs2Rb6Hg3
Radiation: Cu Kα X-rays
Structure: a PBE-relaxed structure
No peak broadening, texture or thermal motion is included.

Crystal structure
Cell lengths 11.6236, 11.6236, 6.6004 Å; angles 90.00, 90.00, 120.00 degrees
Space group P-62m (No. 189)
Asymmetric unit:
Cs: 0.3333 0.6667 0.0000 x2
Rb: 0.0000 0.2278 0.0000 x3
Rb: 0.0000 0.6781 0.5000 x3
Hg: 0.0000 0.3604 0.5000 x3

The 12 most intense peaks (2θ from 5° to 70°), low angle first:
- 15.25°, I 53.2, hkl 1 1 0
- 20.36°, I 100.0, hkl 1 1 1
- 22.21°, I 20.3, hkl 2 0 1
- 26.57°, I 76.6, hkl 3 0 0
- 27.04°, I 86.8, hkl 0 0 2
- 29.87°, I 27.2, hkl 3 0 1
- 31.17°, I 20.2, hkl 1 1 2
- 33.70°, I 29.9, hkl 2 2 1
- 38.25°, I 61.3, hkl 3 0 2
- 41.42°, I 18.1, hkl 3 2 1
- 43.42°, I 45.7, hkl 4 1 1
- 59.46°, I 18.0, hkl 4 1 3

=====

(2)
Calculated PXRD pattern
Compound: DyTmAlCo
Radiation: Cu Kα X-rays
Structure: a PBE-relaxed structure
No peak broadening, texture or thermal motion is included.

Crystal structure
Cell lengths 6.9568, 6.9568, 6.9568 Å; angles 90.00, 90.00, 90.00 degrees
Space group F-43m (No. 216)
Asymmetric unit:
Dy: 0.0000 0.0000 0.0000 x4
Tm: 0.0000 0.0000 0.5000 x4
Al: 0.2500 0.2500 0.7500 x4
Co: 0.2500 0.2500 0.2500 x4

The 8 most intense peaks (2θ from 5° to 70°), low angle first:
- 22.13°, I 1.8, hkl 1 1 1
- 25.61°, I 40.5, hkl 2 0 0
- 36.53°, I 100.0, hkl 2 2 0
- 43.13°, I 0.9, hkl 3 1 1
- 45.15°, I 12.3, hkl 2 2 2
- 52.62°, I 17.4, hkl 4 0 0
- 59.42°, I 16.7, hkl 4 2 0
- 65.76°, I 35.4, hkl 4 2 2

=====

(3)
Calculated PXRD pattern
Compound: Li2NiSe
Radiation: Cu Kα X-rays
Structure: a PBE-relaxed structure
No peak broadening, texture or thermal motion is included.

Crystal structure
Cell lengths 3.7602, 3.7602, 7.5579 Å; angles 90.00, 90.00, 90.00 degrees
Space group I4/mmm (No. 139)
Asymmetric unit:
Li: 0.0000 0.5000 0.2500 x4
Ni: 0.0000 0.0000 0.0000 x2
Se: 0.0000 0.0000 0.5000 x2

The 11 most intense peaks (2θ from 5° to 70°), low angle first:
- 23.54°, I 86.6, hkl 0 0 2
- 26.48°, I 2.9, hkl 1 0 1
- 33.71°, I 68.1, hkl 1 1 0
- 41.53°, I 100.0, hkl 1 1 2
- 43.23°, I 0.8, hkl 1 0 3
- 48.16°, I 16.1, hkl 0 0 4
- 48.42°, I 31.6, hkl 2 0 0
- 54.51°, I 32.7, hkl 2 0 2
- 56.02°, I 0.9, hkl 2 1 1
- 60.07°, I 24.1, hkl 1 1 4
- 66.90°, I 0.6, hkl 2 1 3

=====

(4)
Calculated PXRD pattern
Compound: ReAgH3
Radiation: Cu Kα X-rays
Structure: a PBE-relaxed structure
No peak broadening, texture or thermal motion is included.

Crystal structure
Cell lengths 3.5397, 3.5397, 3.5397 Å; angles 90.00, 90.00, 90.00 degrees
Space group Pm-3m (No. 221)
Asymmetric unit:
Re: 0.0000 0.0000 0.0000 x1
Ag: 0.5000 0.5000 0.5000 x1
H: 0.0000 0.0000 0.5000 x3

The 6 most intense peaks (2θ from 5° to 70°), low angle first:
- 25.16°, I 7.3, hkl 1 0 0
- 35.88°, I 100.0, hkl 1 1 0
- 44.32°, I 2.1, hkl 1 1 1
- 51.65°, I 18.0, hkl 2 0 0
- 58.29°, I 3.4, hkl 2 1 0
- 64.48°, I 35.8, hkl 2 1 1